For Tb4Cu3Ag, a GGA-PBE-relaxed structure gives the theoretical powder X-ray diffraction pattern in this record (Cu Kα, 1.54184 Å).

Main lines, sorted by position (2θ from 10° to 90°):
| 2theta | intensity |
| --- | --- |
| 25.82 | 27 |
| 31.81 | 100 |
| 34.37 | 22 |
| 35.05 | 37 |
| 39.16 | 32 |
| 40.31 | 47 |

Cell and atoms:
a = 3.7818 Å, b = 4.6007 Å, c = 10.4359 Å
α = 90.00°, β = 90.00°, γ = 90.00°
Fractional positions:
Tb: 0.0000 0.0000 0.0000
Tb: 0.0000 0.5000 0.2712
Tb: 0.5000 0.0000 0.4824
Tb: 0.5000 0.5000 0.7766
Cu: 0.0000 0.5000 0.5548
Cu: 0.5000 0.0000 0.2034
Cu: 0.5000 0.5000 0.0630
Ag: 0.0000 0.0000 0.7067

***

For CaTbNpO6, a GGA-PBE-relaxed structure gives the theoretical powder X-ray diffraction pattern in this record (Cu Kα, 1.54184 Å).

Main lines, sorted by position (2θ from 10° to 90°):
| 2theta | intensity |
| --- | --- |
| 20.22 | 62 |
| 26.09 | 100 |
| 31.20 | 53 |
| 41.10 | 30 |
| 50.16 | 43 |
| 52.49 | 29 |

Cell and atoms:
a = 5.7342 Å, b = 5.7342 Å, c = 9.4112 Å
α = 90.00°, β = 90.00°, γ = 120.00°
Fractional positions:
Ca: 0.3333 0.6667 0.2500
Ca: 0.6667 0.3333 0.7500
Tb: 0.0000 0.0000 0.0000
Tb: 0.0000 0.0000 0.5000
Np: 0.3333 0.6667 0.7500
Np: 0.6667 0.3333 0.2500
O: 0.0414 0.3632 0.6331
O: 0.0414 0.6782 0.8669
O: 0.3218 0.3632 0.8669
O: 0.3218 0.9586 0.6331
O: 0.3632 0.0414 0.1331
O: 0.3632 0.3218 0.3669
O: 0.6368 0.6782 0.6331
O: 0.6368 0.9586 0.8669
O: 0.6782 0.0414 0.3669
O: 0.6782 0.6368 0.1331
O: 0.9586 0.3218 0.1331
O: 0.9586 0.6368 0.3669

***

For Li5SbS4, a GGA-PBE-relaxed structure gives the theoretical powder X-ray diffraction pattern in this record (Cu Kα, 1.54184 Å).

Main lines, sorted by position (2θ from 10° to 90°):
| 2theta | intensity |
| --- | --- |
| 13.16 | 52 |
| 14.02 | 100 |
| 25.96 | 52 |
| 26.51 | 37 |
| 34.63 | 63 |
| 48.30 | 36 |

Cell and atoms:
a = 7.8643 Å, b = 7.8643 Å, c = 7.8643 Å
α = 151.19°, β = 125.91°, γ = 62.44°
Fractional positions:
Li: 0.0000 0.0000 0.0000
Li: 0.1127 0.3220 0.7907
Li: 0.4687 0.6780 0.7907
Li: 0.5313 0.3220 0.2093
Li: 0.8873 0.6780 0.2093
Sb: 0.5000 0.0000 0.5000
S: 0.2302 0.5000 0.7302
S: 0.2890 0.7890 0.5000
S: 0.7110 0.2110 0.5000
S: 0.7698 0.5000 0.2698

***

Please write out number 3 again, unchanged.
For Li5SbS4, a GGA-PBE-relaxed structure gives the theoretical powder X-ray diffraction pattern in this record (Cu Kα, 1.54184 Å).

Main lines, sorted by position (2θ from 10° to 90°):
| 2theta | intensity |
| --- | --- |
| 13.16 | 52 |
| 14.02 | 100 |
| 25.96 | 52 |
| 26.51 | 37 |
| 34.63 | 63 |
| 48.30 | 36 |

Cell and atoms:
a = 7.8643 Å, b = 7.8643 Å, c = 7.8643 Å
α = 151.19°, β = 125.91°, γ = 62.44°
Fractional positions:
Li: 0.0000 0.0000 0.0000
Li: 0.1127 0.3220 0.7907
Li: 0.4687 0.6780 0.7907
Li: 0.5313 0.3220 0.2093
Li: 0.8873 0.6780 0.2093
Sb: 0.5000 0.0000 0.5000
S: 0.2302 0.5000 0.7302
S: 0.2890 0.7890 0.5000
S: 0.7110 0.2110 0.5000
S: 0.7698 0.5000 0.2698

***

Please write out number 1 again, unchanged.
For Tb4Cu3Ag, a GGA-PBE-relaxed structure gives the theoretical powder X-ray diffraction pattern in this record (Cu Kα, 1.54184 Å).

Main lines, sorted by position (2θ from 10° to 90°):
| 2theta | intensity |
| --- | --- |
| 25.82 | 27 |
| 31.81 | 100 |
| 34.37 | 22 |
| 35.05 | 37 |
| 39.16 | 32 |
| 40.31 | 47 |

Cell and atoms:
a = 3.7818 Å, b = 4.6007 Å, c = 10.4359 Å
α = 90.00°, β = 90.00°, γ = 90.00°
Fractional positions:
Tb: 0.0000 0.0000 0.0000
Tb: 0.0000 0.5000 0.2712
Tb: 0.5000 0.0000 0.4824
Tb: 0.5000 0.5000 0.7766
Cu: 0.0000 0.5000 0.5548
Cu: 0.5000 0.0000 0.2034
Cu: 0.5000 0.5000 0.0630
Ag: 0.0000 0.0000 0.7067